Theoretical powder XRD pattern of CsK3H3 for Cu Kα, 1.54184 Å, from the PBE geometry in Alexandria.

Largest 12 diffraction maxima, by intensity, 15° ≤ 2θ ≤ 90°:
d (Å)  I_rel
3.188  100
2.087  58
5.523  45
3.905  42
3.493  27
1.267  16
1.426  16
1.746  16
1.665  14
2.470  13
1.953  13
1.532  9

Structural model:
Cell lengths 7.810, 7.810, 7.810 Å; angles 90.00, 90.00, 90.00 degrees
Element x y z (fractional)
Cs 0.000 0.000 0.000
Cs 0.500 0.500 0.500
K 0.000 0.250 0.500
K 0.000 0.750 0.500
K 0.250 0.500 0.000
K 0.500 0.000 0.250
K 0.500 0.000 0.750
K 0.750 0.500 0.000
H 0.000 0.500 0.250
H 0.000 0.500 0.750
H 0.250 0.000 0.500
H 0.500 0.250 0.000
H 0.500 0.750 0.000
H 0.750 0.000 0.500


Theoretical powder XRD pattern of Mg2Zr3Sc3 for Cu Kα, 1.54184 Å, from the PBE geometry in Alexandria.

Largest 12 diffraction maxima, by intensity, 15° ≤ 2θ ≤ 90°:
d (Å)  I_rel
2.614  100
2.220  18
2.297  17
2.276  17
4.445  16
1.379  12
1.370  12
1.589  12
1.346  11
1.617  11
1.596  10
1.307  10

Structural model:
Cell lengths 4.552, 4.594, 17.757 Å; angles 90.00, 90.00, 90.00 degrees
Element x y z (fractional)
Mg 0.000 0.000 0.250
Mg 0.000 0.000 0.750
Mg 0.500 0.500 0.250
Mg 0.500 0.500 0.750
Zr 0.000 0.000 0.000
Zr 0.000 0.500 0.379
Zr 0.000 0.500 0.621
Zr 0.500 0.000 0.121
Zr 0.500 0.000 0.879
Zr 0.500 0.500 0.500
Sc 0.000 0.000 0.500
Sc 0.000 0.500 0.126
Sc 0.000 0.500 0.874
Sc 0.500 0.000 0.374
Sc 0.500 0.000 0.626
Sc 0.500 0.500 0.000


Theoretical powder XRD pattern of Er2Ga3Fe14C2 for Cu Kα, 1.54184 Å, from the PBE geometry in Alexandria.

Largest 12 diffraction maxima, by intensity, 15° ≤ 2θ ≤ 90°:
d (Å)  I_rel
2.125  100
2.156  55
2.087  41
2.999  35
2.145  34
2.467  29
1.500  19
2.390  16
2.980  16
2.886  14
1.233  13
2.500  12

Structural model:
Cell lengths 6.464, 6.464, 6.515 Å; angles 96.72, 96.72, 82.32 degrees
Element x y z (fractional)
Er 0.152 0.152 0.340
Er 0.848 0.848 0.660
Ga 0.000 0.500 0.000
Ga 0.500 0.000 0.000
Ga 0.500 0.500 0.500
Fe 0.150 0.652 0.346
Fe 0.154 0.154 0.845
Fe 0.200 0.800 0.000
Fe 0.214 0.504 0.716
Fe 0.348 0.850 0.654
Fe 0.409 0.409 0.095
Fe 0.496 0.786 0.284
Fe 0.504 0.214 0.716
Fe 0.591 0.591 0.905
Fe 0.652 0.150 0.346
Fe 0.786 0.496 0.284
Fe 0.800 0.200 0.000
Fe 0.846 0.846 0.155
Fe 0.850 0.348 0.654
C 0.000 0.500 0.500
C 0.500 0.000 0.500